The following is a simulated powder X-ray diffraction pattern of Li3Mn2P2C2O14. It was derived from a cell relaxed with PBE+U, using Cu Ka.

Cell: 5.090 6.340 8.470 Å, 90.16 95.03 90.98°
Element x y z (fractional)
Li  0.000  0.000  0.000
Li  0.056  0.709  0.630
Li  0.522  0.231  0.160
Mn  0.600  0.014  0.566
Mn  0.995  0.516  0.231
P  0.067  0.017  0.318
P  0.526  0.509  0.478
C  0.084  0.517  0.955
C  0.478  0.012  0.848
O  0.135  0.540  0.817
O  0.221  0.539  0.438
O  0.265  0.497  0.078
O  0.325  0.978  0.715
O  0.368  0.042  0.347
O  0.378  0.040  0.978
O  0.586  0.320  0.587
O  0.646  0.704  0.571
O  0.651  0.485  0.318
O  0.728  0.018  0.831
O  0.845  0.517  0.006
O  0.942  0.012  0.476
O  0.956  0.198  0.206
O  0.984  0.825  0.209

Peak list (6 most intense, 10 to 80 degrees two-theta, in order of rising 2θ)
2θ (°), d/Å, Rel. int., hkl
10.5, 8.438, 100, 0 0 1
17.5, 5.068, 45, 0 1 1
19.6, 4.524, 43, 1 0 -1
21.2, 4.186, 67, 1 0 1
26.3, 3.393, 35, 1 0 -2
28.2, 3.169, 86, 0 2 0